(1)
The following is a simulated PXRD pattern of DyGaFeCo3. It was derived from a cell relaxed with PBE, using Cu Kα, 1.54184 Å.

Atomic structure:
Unit cell a=4.918 b=4.009 c=5.026 alpha=90.00 beta=118.58 gamma=90.00
Space group P2/m (No. 10)
Asymmetric unit:
Dy 0.000 0.000 0.000
Ga 0.500 0.500 0.000
Fe 0.000 0.500 0.500
Co 0.326 0.000 0.652
Co 0.500 0.500 0.500

Most intense lines, 2θ = 10–90°, by angle:
2θ = 30.11°, I 37; 2θ = 30.42°, I 62; 2θ = 30.58°, I 57; 2θ = 40.89°, I 42; 2θ = 42.13°, I 99; 2θ = 42.48°, I 100; 2θ = 43.16°, I 81; 2θ = 45.24°, I 73

***

(2)
The following is a simulated PXRD pattern of CsInI4. It was derived from a cell relaxed with PBE, using Cu Kα, 1.54184 Å.

Atomic structure:
Unit cell a=7.819 b=19.577 c=9.033 alpha=90.00 beta=106.26 gamma=90.00
Space group P2_1/c (No. 14)
Asymmetric unit:
Cs 0.187 0.131 0.290
In 0.190 0.627 0.796
I 0.171 0.157 0.791
I 0.271 0.553 0.067
I 0.272 0.552 0.570
I 0.364 0.750 0.359

Most intense lines, 2θ = 10–90°, by angle:
2θ = 21.68°, I 35; 2θ = 22.52°, I 45; 2θ = 23.71°, I 72; 2θ = 24.69°, I 80; 2θ = 25.66°, I 100; 2θ = 27.51°, I 57; 2θ = 28.25°, I 32; 2θ = 39.92°, I 38

***

(3)
The following is a simulated PXRD pattern of UTe2. It was derived from a cell relaxed with PBE, using Cu Kα, 1.54184 Å.

Atomic structure:
Unit cell a=4.221 b=6.191 c=13.824 alpha=90.00 beta=90.00 gamma=90.00
Space group Immm (No. 71)
Asymmetric unit:
U 0.000 0.000 0.133
Te 0.000 0.250 0.500
Te 0.000 0.500 0.203

Most intense lines, 2θ = 10–90°, by angle:
2θ = 15.68°, I 30; 2θ = 28.68°, I 98; 2θ = 31.67°, I 27; 2θ = 35.56°, I 18; 2θ = 36.59°, I 100; 2θ = 39.07°, I 28; 2θ = 42.85°, I 21; 2θ = 59.73°, I 28

***

(4)
The following is a simulated PXRD pattern of VCd4N4. It was derived from a cell relaxed with PBE, using Cu Kα, 1.54184 Å.

Atomic structure:
Unit cell a=5.823 b=5.824 c=8.891 alpha=77.02 beta=77.08 gamma=71.16
Space group P-1 (No. 2)
Asymmetric unit:
V 0.167 0.167 0.225
Cd 0.184 0.635 0.382
Cd 0.258 0.741 0.000
Cd 0.284 0.284 0.805
Cd 0.364 0.818 0.618
N 0.018 0.018 0.814
N 0.045 0.604 0.655
N 0.319 0.319 0.045
N 0.396 0.954 0.345

Most intense lines, 2θ = 10–90°, by angle:
2θ = 32.14°, I 63; 2θ = 32.45°, I 54; 2θ = 32.93°, I 100; 2θ = 33.76°, I 33; 2θ = 38.00°, I 48; 2θ = 41.41°, I 44; 2θ = 54.14°, I 16; 2θ = 57.68°, I 16

***

(5)
The following is a simulated PXRD pattern of PuFe2. It was derived from a cell relaxed with PBE, using Cu Kα, 1.54184 Å.

Atomic structure:
Unit cell a=6.803 b=6.803 c=6.803 alpha=90.00 beta=90.00 gamma=90.00
Space group Fd-3m (No. 227, origin choice 2)
Asymmetric unit:
Pu 0.125 0.125 0.125
Fe 0.000 0.000 0.500

Most intense lines, 2θ = 10–90°, by angle:
2θ = 22.64°, I 40; 2θ = 37.39°, I 87; 2θ = 44.15°, I 100; 2θ = 59.20°, I 11; 2θ = 67.44°, I 32; 2θ = 72.15°, I 31; 2θ = 79.74°, I 21; 2θ = 84.20°, I 9

***

(6)
The following is a simulated PXRD pattern of Mg3In. It was derived from a cell relaxed with PBE, using Cu Kα, 1.54184 Å.

Atomic structure:
Unit cell a=6.3077 b=6.3077 c=31.7010 alpha=90.00 beta=90.00 gamma=120.00
Space group R-3m (No. 166, hexagonal axes)
Asymmetric unit:
Mg 0.0000 0.5000 0.1251
Mg 0.0001 0.5000 0.2915
In 0.0000 0.0000 0.1252
In 0.0000 0.0000 0.2916

Most intense lines, 2θ = 10–90°, by angle:
2θ = 17.17°, I 36; 2θ = 21.47°, I 80; 2θ = 25.55°, I 54; 2θ = 28.30°, I 59; 2θ = 33.93°, I 55; 2θ = 35.80°, I 100; 2θ = 38.49°, I 82; 2θ = 69.41°, I 39

***

(7)
The following is a simulated PXRD pattern of Zn3Se. It was derived from a cell relaxed with PBE, using Cu Kα, 1.54184 Å.

Atomic structure:
Unit cell a=5.8806 b=5.8806 c=4.7851 alpha=90.00 beta=90.00 gamma=120.00
Space group P6_3/mmc (No. 194)
Asymmetric unit:
Zn 0.1595 0.3190 0.2500
Se 0.3333 0.6667 0.7500

Most intense lines, 2θ = 10–90°, by angle:
2θ = 35.25°, I 24; 2θ = 37.59°, I 27; 2θ = 40.11°, I 100; 2θ = 52.48°, I 15; 2θ = 63.25°, I 16; 2θ = 69.54°, I 18; 2θ = 75.97°, I 18; 2θ = 77.59°, I 13

***

(8)
The following is a simulated PXRD pattern of Li3SbP2O8. It was derived from a cell relaxed with PBE, using Cu Kα, 1.54184 Å.

Atomic structure:
Unit cell a=4.768 b=6.468 c=10.592 alpha=90.00 beta=91.46 gamma=90.00
Space group P2_1/m (No. 11)
Asymmetric unit:
Li 0.000 0.000 0.000
Li 0.008 0.250 0.714
Li 0.500 0.000 0.500
Sb 0.486 0.250 0.218
P 0.086 0.750 0.583
P 0.403 0.750 0.090
O 0.213 0.559 0.661
O 0.216 0.750 0.451
O 0.236 0.250 0.421
O 0.258 0.750 0.951
O 0.273 0.558 0.155
O 0.278 0.250 0.913

Most intense lines, 2θ = 10–90°, by angle:
2θ = 16.06°, I 100; 2θ = 18.62°, I 34; 2θ = 24.51°, I 24; 2θ = 24.82°, I 59; 2θ = 27.58°, I 43; 2θ = 34.16°, I 33; 2θ = 34.89°, I 26; 2θ = 37.89°, I 27

***

(9)
The following is a simulated PXRD pattern of MgSb2O4. It was derived from a cell relaxed with PBE, using Cu Kα, 1.54184 Å.

Atomic structure:
Unit cell a=6.288 b=7.045 c=9.198 alpha=90.00 beta=90.00 gamma=90.00
Space group Imma (No. 74)
Asymmetric unit:
Mg 0.250 0.250 0.250
Sb 0.000 0.000 0.000
Sb 0.000 0.250 0.645
O 0.000 0.047 0.242
O 0.246 0.250 0.495

Most intense lines, 2θ = 10–90°, by angle:
2θ = 27.15°, I 49; 2θ = 28.39°, I 37; 2θ = 30.67°, I 100; 2θ = 32.49°, I 57; 2θ = 32.67°, I 28; 2θ = 49.47°, I 23; 2θ = 51.73°, I 28; 2θ = 56.00°, I 43